The following is a calculated PXRD pattern of Si2BC. It was derived from a DFT-relaxed cell (PBE, Alexandria), using Cu Kα (weighted mean of Kα1 and Kα2).
Kinematic intensities with the Lorentz-polarization factor, no thermal factor.

Principal peaks in the range 2θ from 15° to 90°, in order of rising 2θ:
| d/Å | intensity |
| --- | --- |
| 4.076 | 2.5 |
| 2.623 | 100.0 |
| 2.289 | 13.7 |
| 2.238 | 6.7 |
| 1.619 | 15.2 |
| 1.600 | 29.8 |
| 1.378 | 23.2 |
| 1.355 | 11.5 |
| 1.312 | 5.2 |
| 1.145 | 4.8 |

Crystal structure
```
data_Si2BC
_cell_length_a 4.578
_cell_length_b 4.578
_cell_length_c 8.954
_cell_angle_alpha 90.00
_cell_angle_beta 90.00
_cell_angle_gamma 90.00
_space_group_name_H-M_alt 'I -4 2 d'
_space_group_IT_number 122
_space_group_name_Hall 'I -4 2bw'
loop_
_atom_site_label
_atom_site_type_symbol
_atom_site_fract_x
_atom_site_fract_y
_atom_site_fract_z
Si1 Si 0.232 0.250 0.125
B1 B 0.000 0.000 0.500
C1 C 0.000 0.000 0.000
```

The following is a calculated PXRD pattern of Sm4MgAg. It was derived from a DFT-relaxed cell (PBE, Alexandria), using Cu Kα (weighted mean of Kα1 and Kα2).
Kinematic intensities with the Lorentz-polarization factor, no thermal factor.

Principal peaks in the range 2θ from 15° to 90°, in order of rising 2θ:
| d/Å | intensity |
| --- | --- |
| 4.255 | 12.8 |
| 3.884 | 25.8 |
| 3.597 | 45.5 |
| 2.639 | 100.0 |
| 2.543 | 46.9 |
| 2.128 | 20.6 |
| 1.798 | 16.6 |
| 1.709 | 10.5 |
| 1.543 | 17.0 |
| 1.486 | 34.4 |

Crystal structure
```
data_Sm4MgAg
_cell_length_a 5.087
_cell_length_b 5.087
_cell_length_c 7.767
_cell_angle_alpha 90.00
_cell_angle_beta 90.00
_cell_angle_gamma 90.00
_space_group_name_H-M_alt 'P 4/m m m'
_space_group_IT_number 123
_space_group_name_Hall '-P 4 2'
loop_
_atom_site_label
_atom_site_type_symbol
_atom_site_fract_x
_atom_site_fract_y
_atom_site_fract_z
Sm1 Sm 0.000 0.500 0.232
Mg1 Mg 0.000 0.000 0.500
Ag1 Ag 0.500 0.500 0.000
```